For VNi2PO6, a cell relaxed with PBE+U gives the computed powder diffraction line list in this record (a wavelength of 1.5418 Å).
Neutral-atom scattering factors, no anomalous dispersion.

The 8 most intense peaks (2θ = 10–80°), in order of falling intensity:
hkl 1 1 1, 2θ 32.66, I = 100.0; hkl 0 0 1, 2θ 21.58, I = 57.9; hkl 2 0 0, 2θ 34.51, I = 47.1; hkl 2 2 0, 2θ 49.61, I = 41.2; hkl 1 1 2, 2θ 50.82, I = 41.1; hkl 3 1 1, 2θ 60.67, I = 30.2; hkl 3 1 2, 2θ 73.76, I = 23.7; hkl 2 2 1, 2θ 54.70, I = 14.0

Structure:
a = 5.1975 Å, b = 5.1975 Å, c = 4.1185 Å
α = 90.00°, β = 90.00°, γ = 90.00°
Space group P4mm (No. 99)
Symmetry-distinct sites (fractional):
V1 0.0000 0.0000 0.0000 (multiplicity 1)
Ni1 0.0000 0.5000 0.3175 (multiplicity 2)
P1 0.5000 0.5000 0.9907 (multiplicity 1)
O1 0.0000 0.0000 0.5448 (multiplicity 1)
O2 0.2778 0.2778 0.1082 (multiplicity 4)
O3 0.5000 0.5000 0.6230 (multiplicity 1)